# 1
LaNdNi2Sn: calculated X-ray diffraction stick pattern (Cu Kα X-rays), based on DFT lattice parameters and positions (PBE).
Intensities are scaled so that the largest is 100.

Largest 10 diffraction maxima, low angle first, 10° ≤ 2θ ≤ 80°:
d/Å, I/Imax
2.893, 16
2.715, 100
2.585, 27
2.408, 24
2.322, 43
2.180, 25
1.667, 15
1.604, 12
1.408, 23
1.292, 12

abc: 4.3604 5.7856 8.6702
angles: 90.00 90.00 90.00
Element x y z (fractional)
1 La 0.0000 0.0000 0.0000
2 La 0.5000 0.5000 0.5000
3 Nd 0.0000 0.0000 0.5926
4 Nd 0.5000 0.5000 0.0926
5 Ni 0.0000 0.2890 0.2960
6 Ni 0.0000 0.7110 0.2960
7 Ni 0.5000 0.2110 0.7960
8 Ni 0.5000 0.7890 0.7960
9 Sn 0.0000 0.5000 0.7965
10 Sn 0.5000 0.0000 0.2965

=====

# 2
LaNd3O7: calculated X-ray diffraction stick pattern (Cu Kα X-rays), based on DFT lattice parameters and positions (PBE).
Intensities are scaled so that the largest is 100.

Largest 10 diffraction maxima, low angle first, 10° ≤ 2θ ≤ 80°:
d/Å, I/Imax
3.488, 39
3.331, 100
2.844, 19
2.659, 53
2.635, 60
2.218, 25
2.055, 17
1.749, 36
1.620, 22
1.605, 24

abc: 8.2182 5.9755 5.9755
angles: 35.71 90.00 90.00
Element x y z (fractional)
1 La 0.0000 0.0000 0.0000
2 Nd 0.2409 0.2740 0.2740
3 Nd 0.5000 0.9858 0.9858
4 Nd 0.7591 0.2740 0.2740
5 O 0.0000 0.3712 0.3712
6 O 0.0000 0.6473 0.6473
7 O 0.2481 0.8988 0.8988
8 O 0.4070 0.6342 0.6342
9 O 0.5000 0.3583 0.3583
10 O 0.5930 0.6342 0.6342
11 O 0.7519 0.8988 0.8988

=====

# 3
LaNdP2Pt2O2: calculated X-ray diffraction stick pattern (Cu Kα X-rays), based on DFT lattice parameters and positions (PBE).
Intensities are scaled so that the largest is 100.

Largest 10 diffraction maxima, low angle first, 10° ≤ 2θ ≤ 80°:
d/Å, I/Imax
8.085, 55
4.042, 31
3.710, 25
2.904, 53
2.774, 100
2.695, 28
2.384, 67
2.088, 53
1.668, 47
1.651, 27

abc: 4.1758 4.1758 8.0848
angles: 90.00 90.00 90.00
Element x y z (fractional)
1 La 0.0000 0.0000 0.0000
2 Nd 0.5000 0.5000 0.2831
3 P 0.0000 0.0000 0.4878
4 P 0.5000 0.5000 0.7876
5 Pt 0.0000 0.5000 0.6369
6 Pt 0.5000 0.0000 0.6369
7 O 0.0000 0.5000 0.1434
8 O 0.5000 0.0000 0.1434

=====

# 4
LaNdPa2Se3O4: calculated X-ray diffraction stick pattern (Cu Kα X-rays), based on DFT lattice parameters and positions (PBE).
Intensities are scaled so that the largest is 100.

Largest 10 diffraction maxima, low angle first, 10° ≤ 2θ ≤ 80°:
d/Å, I/Imax
3.608, 40
3.135, 10
2.840, 100
2.555, 21
2.390, 19
2.206, 14
1.940, 13
1.901, 15
1.743, 19
1.708, 10

abc: 8.8243 6.5625 6.5625
angles: 34.38 90.00 90.00
Element x y z (fractional)
1 La 0.0000 0.0000 0.0000
2 Nd 0.5000 0.9789 0.9789
3 Pa 0.2426 0.2934 0.2934
4 Pa 0.7574 0.2934 0.2934
5 Se 0.0000 0.7100 0.7100
6 Se 0.3060 0.6008 0.6008
7 Se 0.6940 0.6008 0.6008
8 O 0.0000 0.4003 0.4003
9 O 0.2586 0.8884 0.8884
10 O 0.5000 0.3474 0.3474
11 O 0.7414 0.8884 0.8884

=====

# 5
La2PrNdSe3O4: calculated X-ray diffraction stick pattern (Cu Kα X-rays), based on DFT lattice parameters and positions (PBE).
Intensities are scaled so that the largest is 100.

Largest 10 diffraction maxima, low angle first, 10° ≤ 2θ ≤ 80°:
d/Å, I/Imax
3.562, 54
2.971, 100
2.865, 53
2.590, 28
2.031, 20
1.952, 23
1.765, 15
1.728, 17
1.599, 17
1.575, 15

abc: 8.4967 6.8417 6.8417
angles: 34.54 90.00 90.00
Element x y z (fractional)
1 La 0.2386 0.0000 0.0000
2 La 0.7614 0.0000 0.0000
3 Pr 0.0000 0.3154 0.3154
4 Nd 0.5000 0.3316 0.3316
5 Se 0.0000 0.6303 0.6303
6 Se 0.3513 0.6756 0.6756
7 Se 0.6487 0.6756 0.6756
8 O 0.0000 0.9038 0.9038
9 O 0.2452 0.4039 0.4039
10 O 0.5000 0.9292 0.9292
11 O 0.7548 0.4039 0.4039

=====

# 6
La2PrNdSe3O4: calculated X-ray diffraction stick pattern (Cu Kα X-rays), based on DFT lattice parameters and positions (PBE).
Intensities are scaled so that the largest is 100.

Largest 10 diffraction maxima, low angle first, 10° ≤ 2θ ≤ 80°:
d/Å, I/Imax
3.562, 54
2.970, 100
2.867, 53
2.588, 28
2.175, 15
2.033, 20
1.951, 23
1.766, 15
1.729, 16
1.574, 15

abc: 8.5044 6.8340 6.8340
angles: 34.61 90.00 90.00
Element x y z (fractional)
1 La 0.2376 0.0000 0.0000
2 La 0.7624 0.0000 0.0000
3 Pr 0.5000 0.3307 0.3307
4 Nd 0.0000 0.3166 0.3166
5 Se 0.0000 0.6319 0.6319
6 Se 0.3511 0.6742 0.6742
7 Se 0.6489 0.6742 0.6742
8 O 0.0000 0.9029 0.9029
9 O 0.2426 0.4036 0.4036
10 O 0.5000 0.9304 0.9304
11 O 0.7574 0.4036 0.4036

=====

# 7
LaPrNd2Se3O4: calculated X-ray diffraction stick pattern (Cu Kα X-rays), based on DFT lattice parameters and positions (PBE).
Intensities are scaled so that the largest is 100.

Largest 10 diffraction maxima, low angle first, 10° ≤ 2θ ≤ 80°:
d/Å, I/Imax
3.549, 54
2.957, 100
2.853, 54
2.579, 28
2.168, 15
2.022, 20
1.944, 23
1.757, 15
1.722, 16
1.592, 17

abc: 8.4695 6.8118 6.8118
angles: 34.53 90.00 90.00
Element x y z (fractional)
1 La 0.0000 0.0000 0.0000
2 Pr 0.5000 0.9834 0.9834
3 Nd 0.2634 0.6677 0.6677
4 Nd 0.7366 0.6677 0.6677
5 Se 0.1498 0.3373 0.3373
6 Se 0.5000 0.2956 0.2956
7 Se 0.8502 0.3373 0.3373
8 O 0.0000 0.6003 0.6003
9 O 0.2566 0.0725 0.0725
10 O 0.5000 0.5721 0.5721
11 O 0.7434 0.0725 0.0725

=====

# 8
LaPrNd2Se3O4: calculated X-ray diffraction stick pattern (Cu Kα X-rays), based on DFT lattice parameters and positions (PBE).
Intensities are scaled so that the largest is 100.

Largest 10 diffraction maxima, low angle first, 10° ≤ 2θ ≤ 80°:
d/Å, I/Imax
3.547, 54
2.958, 100
2.849, 54
2.583, 38
2.019, 20
1.945, 23
1.755, 15
1.720, 17
1.591, 17
1.571, 15

abc: 8.4539 6.8257 6.8257
angles: 34.41 90.00 90.00
Element x y z (fractional)
1 La 0.0000 0.0000 0.0000
2 Pr 0.5000 0.0170 0.0170
3 Nd 0.2378 0.6847 0.6847
4 Nd 0.7622 0.6847 0.6847
5 Se 0.0000 0.3103 0.3103
6 Se 0.3498 0.3560 0.3560
7 Se 0.6502 0.3560 0.3560
8 O 0.0000 0.5889 0.5889
9 O 0.2446 0.0902 0.0902
10 O 0.5000 0.6167 0.6167
11 O 0.7554 0.0902 0.0902

=====

# 9
LaNd3S3O4: calculated X-ray diffraction stick pattern (Cu Kα X-rays), based on DFT lattice parameters and positions (PBE).
Intensities are scaled so that the largest is 100.

Largest 10 diffraction maxima, low angle first, 10° ≤ 2θ ≤ 80°:
d/Å, I/Imax
6.348, 29
3.778, 20
3.481, 92
2.890, 100
2.798, 72
2.524, 28
1.978, 28
1.901, 43
1.720, 25
1.689, 24

abc: 8.3273 6.6487 6.6487
angles: 34.62 90.00 90.00
Element x y z (fractional)
1 La 0.0000 0.0000 0.0000
2 Nd 0.2355 0.3049 0.3049
3 Nd 0.5000 0.9795 0.9795
4 Nd 0.7645 0.3049 0.3049
5 S 0.0000 0.6847 0.6847
6 S 0.3699 0.6410 0.6410
7 S 0.6301 0.6410 0.6410
8 O 0.0000 0.4054 0.4054
9 O 0.2451 0.9059 0.9059
10 O 0.5000 0.3769 0.3769
11 O 0.7549 0.9059 0.9059

=====

# 10
LaNdSeO2: calculated X-ray diffraction stick pattern (Cu Kα X-rays), based on DFT lattice parameters and positions (PBE).
Intensities are scaled so that the largest is 100.

Largest 10 diffraction maxima, low angle first, 10° ≤ 2θ ≤ 80°:
d/Å, I/Imax
3.524, 11
3.126, 100
2.479, 42
2.349, 10
2.013, 36
1.948, 18
1.693, 17
1.563, 10
1.529, 15
1.296, 14

abc: 4.0269 4.0269 7.0477
angles: 90.00 90.00 120.00
Element x y z (fractional)
1 La 0.0000 0.0000 0.0000
2 Nd 0.3333 0.6667 0.5749
3 Se 0.6667 0.3333 0.2921
4 O 0.0000 0.0000 0.6597
5 O 0.3333 0.6667 0.9112

=====

# 11
La3NdSe3O4: calculated X-ray diffraction stick pattern (Cu Kα X-rays), based on DFT lattice parameters and positions (PBE).
Intensities are scaled so that the largest is 100.

Largest 10 diffraction maxima, low angle first, 10° ≤ 2θ ≤ 80°:
d/Å, I/Imax
3.571, 53
2.981, 100
2.875, 52
2.596, 27
2.183, 15
2.040, 20
1.958, 23
1.772, 15
1.733, 16
1.580, 14

abc: 8.5210 6.8589 6.8589
angles: 34.61 90.00 90.00
Element x y z (fractional)
1 La 0.0000 0.0000 0.0000
2 La 0.2631 0.3306 0.3306
3 La 0.7369 0.3306 0.3306
4 Nd 0.5000 0.0139 0.0139
5 Se 0.1490 0.6585 0.6585
6 Se 0.5000 0.6982 0.6982
7 Se 0.8510 0.6585 0.6585
8 O 0.0000 0.4004 0.4004
9 O 0.2580 0.9272 0.9272
10 O 0.5000 0.4279 0.4279
11 O 0.7420 0.9272 0.9272

=====

# 12
La2NdSmSe3O4: calculated X-ray diffraction stick pattern (Cu Kα X-rays), based on DFT lattice parameters and positions (PBE).
Intensities are scaled so that the largest is 100.

Largest 10 diffraction maxima, low angle first, 10° ≤ 2θ ≤ 80°:
d/Å, I/Imax
3.543, 54
2.946, 100
2.846, 55
2.572, 29
2.159, 14
2.013, 28
1.938, 23
1.751, 15
1.719, 17
1.563, 15

abc: 8.4633 6.7842 6.7842
angles: 34.54 90.00 90.00
Element x y z (fractional)
1 La 0.2389 0.0000 0.0000
2 La 0.7611 0.0000 0.0000
3 Nd 0.0000 0.3152 0.3152
4 Sm 0.5000 0.3323 0.3323
5 Se 0.0000 0.6304 0.6304
6 Se 0.3516 0.6769 0.6769
7 Se 0.6484 0.6769 0.6769
8 O 0.0000 0.9032 0.9032
9 O 0.2461 0.4023 0.4023
10 O 0.5000 0.9280 0.9280
11 O 0.7539 0.4023 0.4023

=====

# 13
LaNd2SmSe3O4: calculated X-ray diffraction stick pattern (Cu Kα X-rays), based on DFT lattice parameters and positions (PBE).
Intensities are scaled so that the largest is 100.

Largest 10 diffraction maxima, low angle first, 10° ≤ 2θ ≤ 80°:
d/Å, I/Imax
3.529, 54
2.935, 100
2.832, 56
2.566, 30
2.002, 28
1.932, 22
1.742, 15
1.711, 17
1.579, 18
1.559, 15

abc: 8.4213 6.7746 6.7746
angles: 34.38 90.00 90.00
Element x y z (fractional)
1 La 0.0000 0.0000 0.0000
2 Nd 0.2388 0.6859 0.6859
3 Nd 0.7612 0.6859 0.6859
4 Sm 0.5000 0.0202 0.0202
5 Se 0.0000 0.3098 0.3098
6 Se 0.3505 0.3599 0.3599
7 Se 0.6495 0.3599 0.3599
8 O 0.0000 0.5900 0.5900
9 O 0.2479 0.0902 0.0902
10 O 0.5000 0.6157 0.6157
11 O 0.7521 0.0902 0.0902

=====

# 14
La2NdSmSe3O4: calculated X-ray diffraction stick pattern (Cu Kα X-rays), based on DFT lattice parameters and positions (PBE).
Intensities are scaled so that the largest is 100.

Largest 10 diffraction maxima, low angle first, 10° ≤ 2θ ≤ 80°:
d/Å, I/Imax
3.545, 54
2.944, 100
2.849, 53
2.570, 28
2.155, 15
2.015, 27
1.936, 23
1.752, 15
1.720, 16
1.561, 15

abc: 8.4772 6.7719 6.7719
angles: 34.63 90.00 90.00
Element x y z (fractional)
1 La 0.2373 0.0000 0.0000
2 La 0.7627 0.0000 0.0000
3 Nd 0.5000 0.3309 0.3309
4 Sm 0.0000 0.3174 0.3174
5 Se 0.0000 0.6337 0.6337
6 Se 0.3514 0.6750 0.6750
7 Se 0.6486 0.6750 0.6750
8 O 0.0000 0.9018 0.9018
9 O 0.2420 0.4018 0.4018
10 O 0.5000 0.9299 0.9299
11 O 0.7580 0.4018 0.4018